Computed powder diffraction line list
Compound: Na2FeO2
Radiation: Cu Kα
Structure: a DFT-relaxed cell (GGA+U, Alexandria)

Cell and atoms:
```
data_Na2FeO2
_chemical_formula_sum 'Na8 Fe4 O8'
_space_group_name_H-M_alt 'P 1 21/c 1'
_space_group_IT_number 14
_cell_length_a 8.0283
_cell_length_b 6.0602
_cell_length_c 5.7749
_cell_angle_alpha 90.00
_cell_angle_beta 95.23
_cell_angle_gamma 90.00
loop_
_space_group_symop_operation_xyz
'x,y,z'
'-x,-y,-z'
'-x,y+1/2,-z+1/2'
'x,-y+1/2,z+1/2'
loop_
_atom_site_label
_atom_site_type_symbol
_atom_site_fract_x
_atom_site_fract_y
_atom_site_fract_z
Na1 Na 0.0188 0.2445 0.0063
Na2 Na 0.3319 0.6562 0.9355
Fe1 Fe 0.3572 0.1262 0.8394
O1 O 0.1475 0.5302 0.2565
O2 O 0.4439 0.1063 0.2002
```

Main lines, in order of rising 2θ (2θ = 10–80°):
- hkl 1 0 0, 11.1 deg, d = 7.995 Å, I = 100
- hkl 1 1 -1, 23.4 deg, d = 3.803 Å, I = 67
- hkl 1 0 2, 34.1 deg, d = 2.631 Å, I = 55
- hkl 1 2 1, 35.8 deg, d = 2.510 Å, I = 58
- hkl 2 0 -2, 36.8 deg, d = 2.441 Å, I = 45
- hkl 2 2 -1, 39.7 deg, d = 2.272 Å, I = 52